Diffraction record for V2MoH4. The powder X-ray diffraction pattern is theoretical, not measured: it uses a cell relaxed with PBE and a wavelength of 1.5418 Å.
Kinematic intensities with the Lorentz-polarization factor, no thermal factor.

Peak list (12 most intense, 2θ from 10° to 80°, low angle first)
two_theta, I_rel
20.3, 6
33.5, 81
39.5, 100
39.6, 50
41.4, 28
52.8, 2
59.9, 19
60.0, 10
63.9, 17
64.0, 28
70.4, 29
70.6, 6

Crystal structure
Cell lengths 5.3490, 5.3490, 5.3490 Å; angles 120.15, 120.02, 89.86 degrees
Fractional positions:
V 0.0000 0.0000 0.0000
V 0.5000 0.0000 0.0000
V 0.5000 0.0000 0.5000
V 0.5000 0.5000 0.5000
Mo 0.1249 0.3749 0.7500
Mo 0.8751 0.6251 0.2500
H 0.2623 0.2368 0.0256
H 0.2633 0.2377 0.4744
H 0.2633 0.7889 0.0256
H 0.2888 0.7632 0.5256
H 0.7112 0.2368 0.4744
H 0.7367 0.2111 0.9744
H 0.7367 0.7623 0.5256
H 0.7377 0.7632 0.9744